Structure and computed powder X-ray diffraction pattern of LiNi4O4F (a GGA+U-relaxed structure; λ = 1.5418 Å (Cu Kα)).

Principal peaks in the range 2θ from 10° to 80°, in order of rising 2θ:
Position (°2θ), d (Å), I_rel, (hkl)
16.75, 5.292, 182, 0 0 4
30.44, 2.936, 170, 1 0 1
32.77, 2.733, 129, 1 0 3
37.02, 2.429, 846, 1 0 5
42.71, 2.117, 603, 0 0 10
43.15, 2.096, 1000, 1 1 0
62.34, 1.490, 579, 1 1 10
62.67, 1.482, 286, 2 0 0
75.08, 1.265, 225, 2 1 5
78.82, 1.214, 292, 2 0 10

Cell lengths 2.965, 2.965, 21.168 Å; angles 90.00, 90.00, 90.00 degrees
Space group I4/mmm (No. 139)
Symmetry-distinct sites (fractional):
Li: 0.000 0.000 0.000
Ni: 0.000 0.000 0.200
Ni: 0.000 0.000 0.398
O: 0.000 0.000 0.100
O: 0.000 0.000 0.300
F: 0.000 0.000 0.500

---

Structure and computed powder X-ray diffraction pattern of Li4Ni3O2F6 (a GGA+U-relaxed structure; λ = 1.5418 Å (Cu Kα)).

Principal peaks in the range 2θ from 10° to 80°, in order of rising 2θ:
Position (°2θ), d (Å), I_rel, (hkl)
15.74, 5.631, 279, 0 0 1
18.38, 4.827, 1000, 1 0 0
23.04, 3.860, 232, 1 1 0
35.43, 2.534, 409, 1 1 2
35.75, 2.512, 200, 0 1 -2
43.05, 2.101, 469, 2 1 2
43.17, 2.096, 472, 1 -2 0
43.44, 2.083, 480, 1 1 -2
47.46, 1.916, 181, -1 1 2
63.05, 1.474, 253, -2 1 2

Cell lengths 5.133, 5.157, 5.897 Å; angles 89.58, 72.94, 79.97 degrees
Space group P-1 (No. 2)
Symmetry-distinct sites (fractional):
Li: 0.013 0.238 0.364
Li: 0.015 0.270 0.878
Ni: 0.498 0.499 0.239
Ni: 0.500 0.000 0.000
O: 0.270 0.360 0.058
F: 0.225 0.865 0.308
F: 0.240 0.869 0.824
F: 0.249 0.405 0.564

---

Structure and computed powder X-ray diffraction pattern of Li3Ni5OF11 (a GGA+U-relaxed structure; λ = 1.5418 Å (Cu Kα)).

Principal peaks in the range 2θ from 10° to 80°, in order of rising 2θ:
Position (°2θ), d (Å), I_rel, (hkl)
19.05, 4.658, 869, 0 1 0
20.98, 4.235, 740, 1 0 -1
23.55, 3.778, 380, 1 0 1
32.45, 2.759, 370, -1 1 1
32.80, 2.730, 390, 1 2 1
35.02, 2.562, 553, 2 1 0
39.89, 2.260, 499, 2 0 0
40.24, 2.241, 1000, 1 1 -3
52.75, 1.735, 502, 2 -1 0
53.31, 1.718, 457, 1 2 -3

Cell lengths 5.128, 5.490, 8.895 Å; angles 74.28, 89.70, 62.87 degrees
Space group P1 (No. 1)
Symmetry-distinct sites (fractional):
Li: 0.000 0.000 0.000
Li: 0.067 0.871 0.355
Li: 0.582 0.852 0.866
Ni: 0.272 0.464 0.754
Ni: 0.301 0.402 0.096
Ni: 0.531 0.990 0.498
Ni: 0.762 0.451 0.260
Ni: 0.806 0.372 0.595
O: 0.772 0.176 0.454
F: 0.233 0.178 0.297
F: 0.257 0.184 0.645
F: 0.257 0.187 0.954
F: 0.313 0.679 0.893
F: 0.316 0.682 0.202
F: 0.362 0.680 0.555
F: 0.715 0.182 0.801
F: 0.744 0.189 0.140
F: 0.819 0.677 0.396
F: 0.824 0.672 0.706
F: 0.858 0.666 0.059

---

Structure and computed powder X-ray diffraction pattern of Li4NiOF4 (a GGA+U-relaxed structure; λ = 1.5418 Å (Cu Kα)).

Principal peaks in the range 2θ from 10° to 80°, in order of rising 2θ:
Position (°2θ), d (Å), I_rel, (hkl)
17.06, 5.197, 589, 0 0 4
25.72, 3.464, 253, 0 0 6
31.01, 2.884, 680, 1 0 1
33.38, 2.684, 513, 1 0 3
43.54, 2.079, 836, 0 0 10
43.98, 2.059, 1000, 1 1 0
44.88, 2.020, 178, 1 1 2
50.43, 1.809, 185, 1 0 9
63.61, 1.463, 540, 1 1 10
63.95, 1.456, 269, 2 0 0

Cell lengths 2.912, 2.912, 20.786 Å; angles 90.00, 90.00, 90.00 degrees
Space group I4/mmm (No. 139)
Symmetry-distinct sites (fractional):
Li: 0.000 0.000 0.101
Li: 0.000 0.000 0.298
Ni: 0.000 0.000 0.500
O: 0.000 0.000 0.000
F: 0.000 0.000 0.201
F: 0.000 0.000 0.396

---

Structure and computed powder X-ray diffraction pattern of LiNiOF2 (a GGA+U-relaxed structure; λ = 1.5418 Å (Cu Kα)).

Principal peaks in the range 2θ from 10° to 80°, in order of rising 2θ:
Position (°2θ), d (Å), I_rel, (hkl)
21.96, 4.048, 1000, 0 0 2
25.54, 3.488, 973, 1 1 -1
33.52, 2.673, 364, 1 1 1
36.24, 2.478, 362, 2 0 -2
36.60, 2.455, 386, 0 2 0
43.09, 2.099, 213, 0 2 2
44.78, 2.024, 265, 0 0 4
51.68, 1.769, 217, 1 1 3
52.46, 1.744, 228, 2 2 -2
64.45, 1.446, 296, 1 3 -3

Cell lengths 4.960, 4.910, 9.358 Å; angles 90.00, 120.09, 90.00 degrees
Space group P2_1/c (No. 14)
Symmetry-distinct sites (fractional):
Li: 0.223 0.032 0.256
Ni: 0.000 0.000 0.500
Ni: 0.500 0.000 0.000
O: 0.438 0.102 0.537
F: 0.145 0.085 0.745
F: 0.229 0.643 0.583

---

Structure and computed powder X-ray diffraction pattern of Li2Ni3OF6 (a GGA+U-relaxed structure; λ = 1.5418 Å (Cu Kα)).

Principal peaks in the range 2θ from 10° to 80°, in order of rising 2θ:
Position (°2θ), d (Å), I_rel, (hkl)
18.50, 4.795, 1000, 1 1 1
34.60, 2.593, 158, 1 0 -2
34.83, 2.576, 153, 1 -1 2
35.16, 2.552, 179, -1 2 1
42.19, 2.142, 274, 2 1 -1
42.33, 2.135, 270, 2 0 3
43.71, 2.071, 242, 0 3 2
56.30, 1.634, 119, 3 1 4
61.20, 1.514, 159, -2 2 3
61.36, 1.511, 83, 0 1 -4

Cell lengths 6.059, 6.507, 7.883 Å; angles 66.52, 68.89, 78.79 degrees
Space group P-1 (No. 2)
Symmetry-distinct sites (fractional):
Li: 0.120 0.310 0.063
Li: 0.319 0.845 0.471
Ni: 0.074 0.162 0.779
Ni: 0.218 0.428 0.344
Ni: 0.354 0.726 0.931
O: 0.071 0.583 0.135
F: 0.091 0.707 0.434
F: 0.177 0.868 0.728
F: 0.222 0.014 0.999
F: 0.336 0.150 0.270
F: 0.367 0.288 0.557
F: 0.469 0.436 0.866

---

Structure and computed powder X-ray diffraction pattern of Li3Ni2OF5 (a GGA+U-relaxed structure; λ = 1.5418 Å (Cu Kα)).

Principal peaks in the range 2θ from 10° to 80°, in order of rising 2θ:
Position (°2θ), d (Å), I_rel, (hkl)
10.07, 8.785, 212, 0 0 2
19.09, 4.650, 252, 1 1 1
21.27, 4.177, 142, 0 2 0
23.90, 3.723, 1000, 1 1 3
38.92, 2.314, 240, 1 3 3
43.32, 2.089, 348, 0 4 0
43.53, 2.079, 699, 2 0 6
50.10, 1.821, 125, 3 1 3
59.64, 1.550, 144, 1 5 3
63.09, 1.474, 375, 2 4 6

Cell lengths 5.905, 8.355, 17.569 Å; angles 90.00, 90.00, 90.00 degrees
Space group F222 (No. 22)
Symmetry-distinct sites (fractional):
Li: 0.000 0.000 0.000
Li: 0.000 0.000 0.323
Li: 0.250 0.250 0.250
Li: 0.250 0.250 0.580
Ni: 0.000 0.000 0.500
Ni: 0.250 0.250 0.078
Ni: 0.250 0.250 0.750
O: 0.000 0.241 0.500
F: 0.003 0.234 0.331
F: 0.247 0.003 0.417
F: 0.250 0.014 0.750

---

Structure and computed powder X-ray diffraction pattern of Li5Ni5O9F (a GGA+U-relaxed structure; λ = 1.5418 Å (Cu Kα)).

Principal peaks in the range 2θ from 10° to 80°, in order of rising 2θ:
Position (°2θ), d (Å), I_rel, (hkl)
18.63, 4.763, 1000, 0 1 -1
36.01, 2.494, 162, -1 1 2
36.57, 2.457, 143, 1 1 1
36.69, 2.449, 140, 2 -1 0
38.12, 2.360, 107, 1 0 2
43.55, 2.078, 262, 1 0 -3
44.36, 2.042, 244, 1 2 0
44.59, 2.032, 239, 2 -2 1
64.01, 1.454, 137, 0 2 3
64.22, 1.450, 69, -3 2 2

Cell lengths 4.983, 5.789, 6.565 Å; angles 102.98, 98.29, 106.49 degrees
Space group P1 (No. 1)
Symmetry-distinct sites (fractional):
Li: 0.000 0.000 0.000
Li: 0.178 0.399 0.393
Li: 0.377 0.788 0.794
Li: 0.579 0.200 0.198
Li: 0.781 0.600 0.596
Ni: 0.185 0.900 0.394
Ni: 0.374 0.300 0.796
Ni: 0.587 0.699 0.191
Ni: 0.785 0.100 0.587
Ni: 0.989 0.506 0.995
O: 0.056 0.426 0.691
O: 0.084 0.975 0.693
O: 0.295 0.355 0.078
O: 0.308 0.841 0.107
O: 0.483 0.234 0.520
O: 0.485 0.775 0.487
O: 0.659 0.619 0.894
O: 0.876 0.570 0.287
O: 0.901 0.032 0.298
F: 0.683 0.133 0.903